Record 1
Computed PXRD pattern of SmEr2N3 for Cu Kα (λ = 1.5418 Å), from DFT lattice parameters and positions (GGA-PBE).
No peak broadening, texture or thermal motion is included.

Crystal structure
Lattice parameters (Å, degrees): 6.0330 6.0330 6.0325 99.59 99.59 120.00
Fractional coordinates of all 12 atoms:
Sm 0.1668 0.8332 0.0000
Sm 0.8332 0.1668 0.0000
Er 0.0000 0.0000 0.5000
Er 0.3346 0.6654 0.5000
Er 0.5000 0.5000 0.0000
Er 0.6654 0.3346 0.5000
N 0.0875 0.4145 0.7436
N 0.2583 0.2583 0.2563
N 0.4145 0.0875 0.7436
N 0.5855 0.9125 0.2564
N 0.7417 0.7417 0.7437
N 0.9125 0.5855 0.2564

Largest 6 diffraction maxima, by intensity, 2θ = 10–80°:
d = 2.844 Å, I 100.0
d = 2.463 Å, I 71.3
d = 1.742 Å, I 49.1
d = 1.485 Å, I 44.7
d = 1.422 Å, I 16.5
d = 1.231 Å, I 7.7

Record 2
Computed PXRD pattern of SmErTm2N4 for Cu Kα (λ = 1.5418 Å), from DFT lattice parameters and positions (GGA-PBE).
No peak broadening, texture or thermal motion is included.

Crystal structure
Lattice parameters (Å, degrees): 5.9875 3.4572 5.9882 90.00 109.44 90.00
Fractional coordinates of all 8 atoms:
Sm 0.0000 0.0000 0.0000
Er 0.5000 0.5000 0.0000
Tm 0.0000 0.5000 0.5000
Tm 0.5000 0.0000 0.5000
N 0.2528 0.0000 0.7452
N 0.2572 0.5000 0.2583
N 0.7428 0.5000 0.7417
N 0.7472 0.0000 0.2548

Largest 6 diffraction maxima, by intensity, 2θ = 10–80°:
d = 2.823 Å, I 100.0
d = 2.445 Å, I 70.8
d = 1.729 Å, I 48.7
d = 1.474 Å, I 44.6
d = 1.411 Å, I 16.4
d = 1.222 Å, I 7.6

Record 3
Computed PXRD pattern of SrErZnN2 for Cu Kα (λ = 1.5418 Å), from DFT lattice parameters and positions (GGA-PBE).
No peak broadening, texture or thermal motion is included.

Crystal structure
Lattice parameters (Å, degrees): 5.6094 5.3022 6.6078 90.00 90.05 90.00
Fractional coordinates of all 10 atoms:
Sr 0.0000 0.0027 0.2500
Sr 0.0000 0.9973 0.7500
Er 0.5000 0.4994 0.7500
Er 0.5000 0.5006 0.2500
Zn 0.5000 0.0000 0.0000
Zn 0.5000 0.0000 0.5000
N 0.2927 0.2779 0.0002
N 0.2927 0.7221 0.5002
N 0.7073 0.2779 0.4998
N 0.7073 0.7221 0.9998

Largest 10 diffraction maxima, by intensity, 2θ = 10–80°:
d = 2.508 Å, I 100.0
d = 3.853 Å, I 49.2
d = 5.609 Å, I 43.3
d = 2.805 Å, I 42.7
d = 1.927 Å, I 25.7
d = 2.651 Å, I 24.9
d = 1.502 Å, I 20.6
d = 1.557 Å, I 14.4
d = 1.254 Å, I 13.2
d = 2.138 Å, I 12.4

Record 4
Computed PXRD pattern of Er2TaN3 for Cu Kα (λ = 1.5418 Å), from DFT lattice parameters and positions (GGA-PBE).
No peak broadening, texture or thermal motion is included.

Crystal structure
Lattice parameters (Å, degrees): 10.8958 10.3856 5.7197 79.40 69.54 31.06
Fractional coordinates of all 24 atoms:
Er 0.0423 0.0423 0.2077
Er 0.1239 0.1239 0.6261
Er 0.2077 0.2077 0.0423
Er 0.3739 0.3739 0.8761
Er 0.6261 0.6261 0.1239
Er 0.7923 0.7923 0.9577
Er 0.8761 0.8761 0.3739
Er 0.9577 0.9577 0.7923
Ta 0.2917 0.2917 0.4583
Ta 0.4583 0.4583 0.2917
Ta 0.5417 0.5417 0.7083
Ta 0.7083 0.7083 0.5417
N 0.0361 0.5403 0.2327
N 0.1462 0.6038 0.6038
N 0.2327 0.6909 0.0361
N 0.3091 0.7673 0.4597
N 0.3962 0.8538 0.8538
N 0.4597 0.9639 0.3091
N 0.5403 0.0361 0.6909
N 0.6038 0.1462 0.1462
N 0.6909 0.2327 0.5403
N 0.7673 0.3091 0.9639
N 0.8538 0.3962 0.3962
N 0.9639 0.4597 0.7673

Largest 10 diffraction maxima, by intensity, 2θ = 10–80°:
d = 2.331 Å, I 100.0
d = 2.698 Å, I 73.4
d = 2.685 Å, I 72.3
d = 1.649 Å, I 45.1
d = 1.408 Å, I 31.9
d = 1.402 Å, I 20.9
d = 1.349 Å, I 11.4
d = 1.653 Å, I 11.3
d = 1.342 Å, I 11.2
d = 1.641 Å, I 11.1